(1)
Computed PXRD pattern of BaOF3 for a wavelength of 1.5418 Å, from a DFT-relaxed cell (GGA-PBE, Alexandria).
Peak positions follow from Bragg's law for the DFT cell and can differ from measured ones.

Top 10 peaks for 5 to 70 degrees two-theta, low angle first:
two_theta, intensity, hkl
12.86, 604, 0 0 1
22.27, 437, 0 1 -1
24.19, 1000, 1 -1 0
25.31, 249, 0 1 2
27.80, 580, 0 2 1
33.67, 240, 0 1 -2
37.76, 224, 1 -2 1
38.34, 231, 1 0 -2
40.15, 249, 2 0 1
41.61, 389, 1 2 3

Crystal structure
a b c (Å): 4.492 6.472 7.601
angles (deg): 72.27 72.86 89.99
Space group P-1 (No. 2)
Symmetry-distinct sites (fractional):
Ba1 0.183 0.200 0.134 x2
O1 0.458 0.435 0.579 x2
F1 0.012 0.858 0.474 x2
F2 0.236 0.849 0.028 x2
F3 0.345 0.563 0.809 x2



(2)
Computed PXRD pattern of Ba2PO4F2 for a wavelength of 1.5418 Å, from a DFT-relaxed cell (GGA-PBE, Alexandria).
Peak positions follow from Bragg's law for the DFT cell and can differ from measured ones.

Top 10 peaks for 5 to 70 degrees two-theta, low angle first:
two_theta, intensity, hkl
21.61, 586, 1 1 0
21.87, 346, 0 0 2
30.75, 584, 2 0 0
30.94, 1000, 1 1 2
38.06, 872, 2 0 2
44.04, 374, 2 2 0
49.70, 206, 2 2 2
54.79, 340, 3 1 2
55.15, 222, 2 0 4
64.48, 223, 2 2 4

Crystal structure
a b c (Å): 5.815 5.815 8.127
angles (deg): 90.00 90.00 90.00
Space group I4/mmm (No. 139)
Symmetry-distinct sites (fractional):
Ba1 0.000 0.500 0.250 x4
P1 0.000 0.000 0.000 x2
O1 0.198 0.198 0.000 x8
F1 0.000 0.000 0.239 x4



(3)
Computed PXRD pattern of BaSr3Pd2O4F4 for a wavelength of 1.5418 Å, from a DFT-relaxed cell (GGA-PBE, Alexandria).
Peak positions follow from Bragg's law for the DFT cell and can differ from measured ones.

Top 10 peaks for 5 to 70 degrees two-theta, low angle first:
two_theta, intensity, hkl
13.33, 134, 0 0 2
29.60, 1000, 1 0 3
30.64, 324, 1 1 0
40.39, 207, 1 0 5
41.19, 117, 1 1 4
43.89, 313, 2 0 0
51.85, 105, 1 1 6
53.83, 364, 2 1 3
61.16, 120, 2 1 5
63.81, 96, 2 2 0

Crystal structure
a b c (Å): 4.126 4.126 13.280
angles (deg): 90.00 90.00 90.00
Space group P4mm (No. 99)
Symmetry-distinct sites (fractional):
Ba1 0.000 0.000 0.000 x1
Sr1 0.000 0.000 0.721 x1
Sr2 0.500 0.500 0.234 x1
Sr3 0.500 0.500 0.502 x1
Pd1 0.000 0.000 0.368 x1
Pd2 0.500 0.500 0.867 x1
O1 0.000 0.500 0.367 x2
O2 0.000 0.500 0.846 x2
F1 0.000 0.500 0.126 x2
F2 0.000 0.500 0.609 x2